No. 1
Starting from DFT lattice parameters and positions (GGA-PBE), the powder X-ray diffraction pattern of Rb3Mg was simulated for Cu Ka.
Lines closer than 0.1° are merged.

Crystal structure
Cell lengths 7.1825, 7.1825, 7.1825 Å; angles 60.00, 60.00, 60.00 degrees
Element x y z (fractional)
Rb 0.0000 0.0000 0.0000
Rb 0.2500 0.2500 0.2500
Rb 0.7500 0.7500 0.7500
Mg 0.5000 0.5000 0.5000

The 8 most intense peaks (2θ = 10–90°), by angle:
2θ 15.11, I 93
2θ 24.79, I 1000
2θ 35.35, I 195
2θ 43.65, I 425
2θ 50.85, I 134
2θ 57.37, I 186
2θ 69.21, I 212
2θ 80.18, I 106


No. 2
Starting from DFT lattice parameters and positions (GGA-PBE), the powder X-ray diffraction pattern of RbMg6Sb was simulated for Cu Ka.
Lines closer than 0.1° are merged.

Crystal structure
Cell lengths 4.9374, 9.1826, 9.1826 Å; angles 39.37, 90.00, 90.00 degrees
Element x y z (fractional)
Rb 0.0000 0.0000 0.0000
Mg 0.0000 0.4764 0.9660
Mg 0.0000 0.9660 0.4764
Mg 0.5000 0.0809 0.6014
Mg 0.5000 0.1696 0.1696
Mg 0.5000 0.6014 0.0809
Mg 0.5000 0.6549 0.6549
Sb 0.0000 0.3731 0.3731

The 8 most intense peaks (2θ = 10–90°), by angle:
2θ 10.23, I 662
2θ 17.97, I 422
2θ 20.72, I 421
2θ 21.07, I 865
2θ 27.82, I 1000
2θ 29.59, I 402
2θ 34.84, I 451
2θ 35.80, I 895